For CeGeO2, DFT lattice parameters and positions (GGA-PBE) gives the simulated XRD peak list in this record (Cu Ka).
Intensities are scaled so that the largest is 100.

Largest 10 diffraction maxima, by angle, 2θ = 10–90°:
2θ/deg	intensity	h k l
15.21	21	1 0 1
30.31	35	0 0 4
30.70	100	2 0 2
37.99	46	2 2 0
49.35	36	2 2 4
54.09	27	2 0 6
54.81	15	4 0 0
63.92	16	4 0 4
64.14	24	4 2 2
80.63	16	4 2 6

Structure:
Unit cell a=6.6996 b=6.6996 c=11.7950 alpha=90.00 beta=90.00 gamma=90.00
Space group I4_1/amd (No. 141, origin choice 2)
One atom of each set of equivalent atoms:
Ce 0.0000 0.0000 0.0000 x8
Ge 0.0000 0.0000 0.5000 x8
O 0.0000 0.0093 0.7992 x16